1.
For RbCd8Sn2, the GGA-PBE geometry in Alexandria gives the theoretical powder X-ray diffraction pattern in this record (Cu Ka).

a b c (Å): 5.556 5.556 12.068
angles (deg): 90.00 90.00 115.59
Element x y z (fractional)
Rb  0.000  0.000  0.000
Cd  0.000  0.500  0.218
Cd  0.000  0.500  0.500
Cd  0.000  0.500  0.782
Cd  0.500  0.000  0.218
Cd  0.500  0.000  0.500
Cd  0.500  0.000  0.782
Cd  0.500  0.500  0.346
Cd  0.500  0.500  0.654
Sn  0.000  0.000  0.363
Sn  0.000  0.000  0.637

Main lines, in order of falling intensity (5 to 70 degrees two-theta):
Position (°2θ)	Rel. int.
7.3	1000
29.2	793
35.8	707
37.7	398
35.4	353
38.3	294

=====

2.
For Pm4YSe7, the GGA-PBE geometry in Alexandria gives the theoretical powder X-ray diffraction pattern in this record (Cu Ka).

a b c (Å): 7.146 7.146 12.407
angles (deg): 104.15 104.15 33.03
Element x y z (fractional)
Pm  0.000  0.000  0.000
Pm  0.188  0.188  0.766
Pm  0.587  0.587  0.385
Pm  0.887  0.887  0.574
Y  0.775  0.775  0.153
Se  0.152  0.152  0.224
Se  0.226  0.226  0.525
Se  0.385  0.385  0.079
Se  0.548  0.548  0.626
Se  0.630  0.630  0.930
Se  0.848  0.848  0.792
Se  0.926  0.926  0.356

Main lines, in order of falling intensity (5 to 70 degrees two-theta):
Position (°2θ)	Rel. int.
31.0	1000
22.9	878
32.1	863
22.4	818
29.5	750
44.6	650